This entry pairs a crystal structure of TaBeCu with its theoretical powder XRD pattern. Radiation: CuKα. Structure: a DFT-relaxed cell (PBE, Alexandria).
Peak positions follow from Bragg's law for the DFT cell and can differ from measured ones.

Structural model:
a = 5.401 Å, b = 5.401 Å, c = 5.401 Å
α = 150.42°, β = 150.42°, γ = 42.33°
Atoms (fractional coordinates):
Ta 0.000 0.000 0.000
Be 0.327 0.327 0.000
Cu 0.703 0.703 0.000

Principal peaks in the range 10° ≤ 2θ ≤ 90°, in order of rising 2θ:
- 17.6°, d = 5.036 Å, intensity 57
- 33.7°, d = 2.660 Å, intensity 90
- 35.7°, d = 2.518 Å, intensity 31
- 42.4°, d = 2.131 Å, intensity 100
- 46.6°, d = 1.950 Å, intensity 42
- 50.2°, d = 1.818 Å, intensity 16
- 60.0°, d = 1.542 Å, intensity 27
- 74.4°, d = 1.276 Å, intensity 18
- 78.1°, d = 1.224 Å, intensity 16
- 83.5°, d = 1.158 Å, intensity 28